Entry 1:
Diffraction record for ZrRh2Cl. The XRD peak list is computed, not measured: it uses DFT lattice parameters and positions (GGA-PBE) and Cu Ka.

Crystal structure
Unit cell a=3.385 b=3.191 c=7.086 alpha=90.00 beta=90.16 gamma=90.00
Space group P2/m (No. 10)
Asymmetric unit:
Zr 0.000 0.000 0.000 (multiplicity 1)
Rh 0.499 0.500 0.795 (multiplicity 2)
Cl 0.500 0.000 0.500 (multiplicity 1)

Most intense lines, 5° ≤ 2θ ≤ 70°, by intensity:
| 2θ (°) | I_rel | (hkl) |
| --- | --- | --- |
| 12.49 | 100 | 0 0 1 |
| 37.95 | 94 | 0 1 2 |
| 38.79 | 69 | 1 1 0 |
| 40.90 | 57 | 1 1 -1 |
| 26.33 | 32 | 1 0 0 |
| 36.78 | 31 | 1 0 2 |
| 36.67 | 31 | 1 0 -2 |
| 47.92 | 24 | 0 1 3 |
| 46.84 | 22 | 1 0 -3 |
| 46.97 | 22 | 1 0 3 |
| 54.20 | 20 | 2 0 0 |
| 68.00 | 17 | 2 1 -2 |

***

Entry 2:
Diffraction record for NaBrO. The XRD peak list is computed, not measured: it uses DFT lattice parameters and positions (GGA-PBE) and Cu Ka.

Crystal structure
Unit cell a=5.161 b=5.557 c=13.063 alpha=90.00 beta=90.00 gamma=90.00
Space group Immm (No. 71)
Asymmetric unit:
Na 0.000 0.000 0.229 (multiplicity 4)
Br 0.000 0.500 0.173 (multiplicity 4)
O 0.120 0.500 0.500 (multiplicity 4)

Most intense lines, 5° ≤ 2θ ≤ 70°, by intensity:
| 2θ (°) | I_rel | (hkl) |
| --- | --- | --- |
| 26.79 | 100 | 1 0 3 |
| 26.00 | 80 | 0 1 3 |
| 23.53 | 64 | 1 1 0 |
| 13.56 | 64 | 0 0 2 |
| 42.38 | 55 | 1 2 3 |
| 32.22 | 43 | 0 2 0 |
| 48.23 | 41 | 1 1 6 |
| 34.77 | 27 | 2 0 0 |
| 43.92 | 25 | 2 1 3 |
| 37.45 | 24 | 2 0 2 |
| 48.12 | 21 | 2 2 0 |
| 18.48 | 18 | 1 0 1 |

***

Entry 3:
Diffraction record for In4AgSbSe8. The XRD peak list is computed, not measured: it uses DFT lattice parameters and positions (GGA-PBE) and Cu Ka.

Crystal structure
Unit cell a=8.2377 b=8.2377 c=20.0252 alpha=90.00 beta=90.00 gamma=120.00
Space group R3m (No. 160, hexagonal axes)
Asymmetric unit:
In 0.0000 0.0000 0.0000 (multiplicity 3)
In 0.1741 0.3482 0.2098 (multiplicity 9)
Ag 0.0000 0.0000 0.7515 (multiplicity 3)
Sb 0.0000 0.0000 0.3847 (multiplicity 3)
Se 0.0000 0.0000 0.1370 (multiplicity 3)
Se 0.0000 0.0000 0.6199 (multiplicity 3)
Se 0.0153 0.5076 0.1322 (multiplicity 9)
Se 0.1752 0.3504 0.9548 (multiplicity 9)

Most intense lines, 5° ≤ 2θ ≤ 70°, by intensity:
| 2θ (°) | I_rel | (hkl) |
| --- | --- | --- |
| 30.78 | 100 | 0 2 4 |
| 25.40 | 95 | 1 1 3 |
| 43.97 | 86 | 2 2 0 |
| 44.20 | 81 | 2 0 8 |
| 40.30 | 51 | 0 3 3 |
| 25.51 | 32 | 0 1 5 |
| 64.11 | 25 | 0 4 8 |
| 13.21 | 20 | 0 0 3 |
| 40.42 | 20 | 0 2 7 |
| 21.58 | 19 | 1 1 0 |
| 54.63 | 18 | 4 0 4 |
| 21.69 | 18 | 1 0 4 |

***

Entry 4:
Diffraction record for Pm4Sm2Er3. The XRD peak list is computed, not measured: it uses DFT lattice parameters and positions (GGA-PBE) and Cu Ka.

Crystal structure
Unit cell a=11.367 b=5.091 c=10.786 alpha=90.00 beta=108.26 gamma=90.00
Space group C2/m (No. 12)
Asymmetric unit:
Pm 0.001 0.000 0.334 (multiplicity 4)
Pm 0.166 0.500 0.888 (multiplicity 4)
Sm 0.168 0.500 0.224 (multiplicity 4)
Er 0.000 0.000 0.000 (multiplicity 2)
Er 0.166 0.500 0.554 (multiplicity 4)

Most intense lines, 5° ≤ 2θ ≤ 70°, by intensity:
| 2θ (°) | I_rel | (hkl) |
| --- | --- | --- |
| 30.43 | 100 | 3 1 0 |
| 50.75 | 36 | 6 0 0 |
| 35.25 | 34 | 2 0 3 |
| 60.29 | 29 | 5 1 3 |
| 35.35 | 17 | 4 0 -3 |
| 60.42 | 14 | 7 1 -3 |
| 63.32 | 12 | 6 2 0 |

***

Entry 5:
Diffraction record for Ir7Rh3. The XRD peak list is computed, not measured: it uses DFT lattice parameters and positions (GGA-PBE) and Cu Ka.

Crystal structure
Unit cell a=13.941 b=3.855 c=5.473 alpha=90.00 beta=101.23 gamma=90.00
Space group C2/m (No. 12)
Asymmetric unit:
Ir 0.000 0.000 0.000 (multiplicity 2)
Ir 0.099 0.500 0.799 (multiplicity 4)
Ir 0.101 0.500 0.301 (multiplicity 4)
Ir 0.201 0.000 0.600 (multiplicity 4)
Rh 0.000 0.000 0.500 (multiplicity 2)
Rh 0.198 0.000 0.099 (multiplicity 4)

Most intense lines, 5° ≤ 2θ ≤ 70°, by intensity:
| 2θ (°) | I_rel | (hkl) |
| --- | --- | --- |
| 40.43 | 100 | 5 1 0 |
| 46.97 | 33 | 4 0 2 |
| 68.75 | 21 | 4 2 2 |
| 47.15 | 16 | 0 2 0 |
| 68.61 | 11 | 2 0 -4 |
| 22.97 | 2 | 2 0 1 |
| 32.81 | 2 | 3 1 -1 |
| 23.98 | 1 | 1 1 0 |
| 18.93 | 1 | 2 0 -1 |
| 58.44 | 1 | 7 1 1 |
| 29.99 | 1 | 1 1 1 |
| 52.95 | 1 | 8 0 -1 |

***

Entry 6:
Diffraction record for TaI2Cl. The XRD peak list is computed, not measured: it uses DFT lattice parameters and positions (GGA-PBE) and Cu Ka.

Crystal structure
Unit cell a=3.746 b=4.810 c=8.488 alpha=73.69 beta=85.44 gamma=90.00
Space group P-1 (No. 2)
Asymmetric unit:
Ta 0.000 0.000 0.000 (multiplicity 1)
I 0.453 0.870 0.262 (multiplicity 2)
Cl 0.000 0.500 0.000 (multiplicity 1)

Most intense lines, 5° ≤ 2θ ≤ 70°, by intensity:
| 2θ (°) | I_rel | (hkl) |
| --- | --- | --- |
| 19.24 | 100 | 0 1 0 |
| 10.90 | 72 | 0 0 1 |
| 31.18 | 34 | 1 0 2 |
| 35.61 | 31 | -1 1 2 |
| 33.95 | 24 | 1 0 -2 |
| 27.11 | 21 | 1 0 -1 |
| 37.39 | 21 | 0 2 1 |
| 33.64 | 21 | 1 1 2 |
| 39.93 | 19 | 1 -1 2 |
| 49.45 | 18 | 1 2 3 |
| 43.31 | 17 | 0 1 4 |
| 44.65 | 12 | 0 0 4 |

***

Entry 7:
Diffraction record for Na7USe6. The XRD peak list is computed, not measured: it uses DFT lattice parameters and positions (GGA-PBE) and Cu Ka.

Crystal structure
Unit cell a=8.2556 b=8.2556 c=19.8995 alpha=90.00 beta=90.00 gamma=120.00
Space group R3 (No. 146, hexagonal axes)
Asymmetric unit:
Na 0.0000 0.0000 0.0000 (multiplicity 3)
Na 0.0085 0.3847 0.4506 (multiplicity 9)
Na 0.0154 0.7337 0.5704 (multiplicity 9)
U 0.0000 0.0000 0.3432 (multiplicity 3)
Se 0.0529 0.6704 0.0862 (multiplicity 9)
Se 0.0630 0.3612 0.9336 (multiplicity 9)

Most intense lines, 5° ≤ 2θ ≤ 70°, by intensity:
| 2θ (°) | I_rel | (hkl) |
| --- | --- | --- |
| 13.16 | 100 | 1 0 1 |
| 25.41 | 80 | 1 1 3 |
| 34.70 | 75 | 1 1 6 |
| 15.26 | 71 | 0 1 2 |
| 37.75 | 50 | 3 0 0 |
| 46.02 | 27 | 4 -3 1 |
| 13.35 | 27 | 0 0 3 |
| 34.39 | 22 | 1 2 2 |
| 40.34 | 20 | 1 2 5 |
| 46.60 | 20 | 2 -1 9 |
| 52.19 | 19 | 4 -2 6 |
| 33.46 | 18 | 2 1 1 |

***

Entry 8:
Diffraction record for Tb2SmEr4Th. The XRD peak list is computed, not measured: it uses DFT lattice parameters and positions (GGA-PBE) and Cu Ka.

Crystal structure
Unit cell a=5.036 b=5.048 c=9.925 alpha=90.00 beta=90.04 gamma=90.00
Space group P2/m (No. 10)
Asymmetric unit:
Tb 0.000 0.000 0.000 (multiplicity 1)
Tb 0.500 0.500 0.500 (multiplicity 1)
Sm 0.000 0.000 0.500 (multiplicity 1)
Er 0.000 0.500 0.247 (multiplicity 2)
Er 0.500 0.000 0.247 (multiplicity 2)
Th 0.500 0.500 0.000 (multiplicity 1)

Most intense lines, 5° ≤ 2θ ≤ 70°, by intensity:
| 2θ (°) | I_rel | (hkl) |
| --- | --- | --- |
| 30.88 | 100 | 1 1 2 |
| 35.61 | 34 | 2 0 0 |
| 51.69 | 24 | 2 0 4 |
| 36.20 | 16 | 0 0 4 |
| 60.98 | 15 | 1 3 2 |
| 61.10 | 15 | 3 1 2 |
| 61.83 | 14 | 1 1 6 |
| 64.35 | 12 | 2 2 4 |
| 51.25 | 12 | 2 2 0 |
| 8.91 | 2 | 0 0 1 |
| 17.59 | 1 | 1 0 0 |
| 19.75 | 1 | 1 0 -1 |